# SiHg2O4F6
Calculated powder diffraction line list, copper Kα. Input: a cell relaxed with GGA-PBE.
Lines closer than 0.1° are merged.

Top 12 peaks for 15 to 90 degrees two-theta, by intensity:
(0 1 0), 2θ = 17.82°, I = 100; (1 -1 1), 2θ = 24.99°, I = 80; (0 0 2), 2θ = 25.72°, I = 63; (1 1 -1), 2θ = 25.18°, I = 60; (1 0 -1), 2θ = 21.11°, I = 47; (1 0 1), 2θ = 22.25°, I = 43; (0 1 -2), 2θ = 25.60°, I = 39; (0 2 0), 2θ = 36.09°, I = 29; (-1 1 1), 2θ = 30.14°, I = 29; (1 1 -3), 2θ = 40.26°, I = 28; (2 0 0), 2θ = 35.32°, I = 27; (0 1 2), 2θ = 36.48°, I = 26

Cell and atoms:
```
13
Lattice="5.0922 0.0000 0.0000 -0.1550 5.3234 0.0000 -0.2998 -2.6278 6.9279" Properties=species:S:1:pos:R:3 pbc="T T T"
Si 0.0000 0.0000 0.0000
Hg -0.2274 1.3478 3.4640
Hg 2.4686 2.6617 0.0000
O 1.7091 2.6545 3.1048
O 1.9762 0.4789 4.5813
O 2.6612 2.2167 2.3466
O 2.9283 0.0411 3.8232
F 0.3836 1.4984 0.7897
F 0.3551 3.2139 5.5348
F 1.2990 4.6317 0.6174
F 3.3384 -1.9360 6.3105
F 4.2823 -0.5183 1.3931
F 4.2538 1.1972 6.1382
```